[1]
Diffraction record for LiOsN2. The PXRD pattern is calculated, not measured: it uses a structure optimized by DFT (GGA-PBE) and Cu Kα (weighted mean of Kα1 and Kα2).
Kinematic intensities with the Lorentz-polarization factor, no thermal factor.

Crystal structure
Cell: 5.6908 6.5241 5.4437 Å, 90.00 90.00 90.00°
Positions (direct):
Li 0.0809 0.1226 0.0000
Li 0.4191 0.6226 0.5000
Li 0.5809 0.3774 0.0000
Li 0.9191 0.8774 0.5000
Os 0.0708 0.6247 0.0010
Os 0.4292 0.1247 0.5010
Os 0.5708 0.8753 0.0010
Os 0.9292 0.3753 0.5010
N 0.0669 0.6065 0.3482
N 0.1112 0.1441 0.3993
N 0.3888 0.6441 0.8993
N 0.4331 0.1065 0.8482
N 0.5669 0.8935 0.3482
N 0.6112 0.3559 0.3993
N 0.8888 0.8559 0.8993
N 0.9331 0.3935 0.8482

Principal peaks in the range 2θ = 10–90°, by angle:
d [Å]  I (rel.)  hkl
4.289  87  1 1 0
4.180  100  0 1 1
3.369  22  1 1 1
2.845  19  2 0 0
2.830  20  1 2 0
2.722  36  0 0 2
2.522  28  2 0 1
2.511  78  1 2 1
2.298  30  1 1 2
1.727  21  3 1 1
1.640  18  3 2 0
1.528  23  1 2 3

[2]
Diffraction record for Li2PbN2. The PXRD pattern is calculated, not measured: it uses a structure optimized by DFT (GGA-PBE) and Cu Kα (weighted mean of Kα1 and Kα2).
Kinematic intensities with the Lorentz-polarization factor, no thermal factor.

Crystal structure
Cell: 3.4434 3.4434 5.6077 Å, 90.00 90.00 120.00°
Positions (direct):
Li 0.3333 0.6667 0.1204
Li 0.6667 0.3333 0.8796
Pb 0.0000 0.0000 0.5000
N 0.3333 0.6667 0.7403
N 0.6667 0.3333 0.2597

Principal peaks in the range 2θ = 10–90°, by angle:
d [Å]  I (rel.)  hkl
5.608  93  0 0 1
2.982  55  1 0 0
2.804  14  0 0 2
2.633  100  0 1 1
2.043  53  0 1 2
1.722  19  1 1 0
1.646  23  1 1 1
1.584  21  1 0 3
1.467  14  1 1 2
1.441  16  2 0 1
1.316  13  2 0 2
1.105  15  1 2 1